[1]
Starting from a structure optimized by DFT (PBE), the X-ray powder pattern of Pm2In3Rh4 was simulated for Cu Kα X-rays.
Lines closer than 0.1° are merged.

Cell and atoms:
Cell lengths 9.0310, 9.0310, 7.2323 Å; angles 90.00, 90.00, 141.47 degrees
Fractional positions:
1 Pm 0.1015 0.8985 0.9168
2 Pm 0.3985 0.6015 0.4168
3 Pm 0.6015 0.3985 0.5832
4 Pm 0.8985 0.1015 0.0832
5 In 0.0000 0.0000 0.5000
6 In 0.0148 0.4852 0.7500
7 In 0.4852 0.0148 0.2500
8 In 0.5000 0.5000 0.0000
9 In 0.5148 0.9852 0.7500
10 In 0.9852 0.5148 0.2500
11 Rh 0.1639 0.8361 0.5297
12 Rh 0.1750 0.3250 0.7500
13 Rh 0.3250 0.1750 0.2500
14 Rh 0.3361 0.6639 0.0297
15 Rh 0.6639 0.3361 0.9703
16 Rh 0.6750 0.8250 0.7500
17 Rh 0.8250 0.6750 0.2500
18 Rh 0.8361 0.1639 0.4703

Most intense lines, 10° ≤ 2θ ≤ 80°, in order of rising 2θ:
Position (°2θ)	I (rel.)
32.69	84
32.98	22
34.21	54
36.80	23
38.82	44
39.18	100
40.37	40
44.04	22
54.99	19
69.19	27

[2]
Starting from a structure optimized by DFT (PBE), the X-ray powder pattern of Pm2InSn2Rh5 was simulated for Cu Kα X-rays.
Lines closer than 0.1° are merged.

Cell and atoms:
Cell lengths 10.2874, 10.2874, 3.7423 Å; angles 90.00, 90.00, 90.00 degrees
Fractional positions:
1 Pm 0.1719 0.3281 0.0000
2 Pm 0.3281 0.8281 0.0000
3 Pm 0.6719 0.1719 0.0000
4 Pm 0.8281 0.6719 0.0000
5 In 0.0000 0.0000 0.0000
6 In 0.5000 0.5000 0.0000
7 Sn 0.1267 0.6267 0.0000
8 Sn 0.3733 0.1267 0.0000
9 Sn 0.6267 0.8733 0.0000
10 Sn 0.8733 0.3733 0.0000
11 Rh 0.0000 0.5000 0.5000
12 Rh 0.0606 0.7968 0.5000
13 Rh 0.2032 0.0606 0.5000
14 Rh 0.2968 0.5606 0.5000
15 Rh 0.4394 0.2968 0.5000
16 Rh 0.5000 0.0000 0.5000
17 Rh 0.5606 0.7032 0.5000
18 Rh 0.7032 0.4394 0.5000
19 Rh 0.7968 0.9394 0.5000
20 Rh 0.9394 0.2032 0.5000

Most intense lines, 10° ≤ 2θ ≤ 80°, in order of rising 2θ:
Position (°2θ)	I (rel.)
34.38	20
36.00	36
36.60	100
37.08	19
39.16	13
39.73	32
42.66	17
48.66	21
61.99	15
62.96	9